Record 1
Starting from a crystal structure in Alexandria, relaxed with PBE, the X-ray diffraction stick pattern of Be3GaPt was computed for Cu Kα (weighted mean of Kα1 and Kα2).

Top 10 peaks for 2θ from 10° to 80°, by angle:
h k l  Position (°2θ)  Rel. int.
1 0 0  20.63  27
1 1 0  29.33  100
1 1 1  36.13  6
2 0 0  41.96  23
2 1 0  47.20  13
2 1 1  52.02  41
2 2 0  60.84  15
3 0 0  64.97  6
3 1 0  68.96  18
2 2 2  76.66  5

Cell and atoms:
```
data_Be3GaPt
_symmetry_space_group_name_H-M 'P m -3 m'
_symmetry_Int_Tables_number 221
_symmetry_space_group_name_Hall '-P 4 2 3'
_cell_length_a 4.306
_cell_length_b 4.306
_cell_length_c 4.306
_cell_angle_alpha 90.00
_cell_angle_beta 90.00
_cell_angle_gamma 90.00
loop_
_atom_site_label
_atom_site_type_symbol
_atom_site_fract_x
_atom_site_fract_y
_atom_site_fract_z
Be1 Be 0.000 0.000 0.500
Ga1 Ga 0.500 0.500 0.500
Pt1 Pt 0.000 0.000 0.000
```

***

Record 2
Starting from a crystal structure in Alexandria, relaxed with PBE, the X-ray diffraction stick pattern of CuSbF2 was computed for Cu Kα (weighted mean of Kα1 and Kα2).

Top 10 peaks for 2θ from 10° to 80°, by angle:
h k l  Position (°2θ)  Rel. int.
0 0 6  25.76  45
1 0 1  31.66  19
0 1 2  32.55  100
1 0 4  35.93  46
0 1 8  47.37  42
1 0 10  54.69  27
1 1 0  55.82  27
1 1 6  62.45  22
2 0 2  66.13  12
2 0 8  76.17  9

Cell and atoms:
```
data_CuSbF2
_symmetry_space_group_name_H-M 'R -3 m'
_symmetry_Int_Tables_number 166
_symmetry_space_group_name_Hall '-R 3 2"'
_cell_length_a 3.2941
_cell_length_b 3.2941
_cell_length_c 20.7520
_cell_angle_alpha 90.00
_cell_angle_beta 90.00
_cell_angle_gamma 120.00
loop_
_atom_site_label
_atom_site_type_symbol
_atom_site_fract_x
_atom_site_fract_y
_atom_site_fract_z
Cu1 Cu 0.0000 0.0000 0.0000
Sb1 Sb 0.0000 0.0000 0.5000
F1 F 0.0000 0.0000 0.3888
```

***

Record 3
Starting from a crystal structure in Alexandria, relaxed with PBE, the X-ray diffraction stick pattern of Pb3O4 was computed for Cu Kα (weighted mean of Kα1 and Kα2).

Top 10 peaks for 2θ from 10° to 80°, by angle:
h k l  Position (°2θ)  Rel. int.
2 0 0  25.34  94
1 3 0  29.31  100
1 1 1  29.81  75
0 2 1  31.01  70
2 2 1  40.45  81
3 3 0  47.18  33
3 1 1  47.51  24
1 5 1  53.81  52
1 3 2  60.98  27
4 2 1  61.80  24

Cell and atoms:
```
data_Pb3O4
_symmetry_space_group_name_H-M 'P b a m'
_symmetry_Int_Tables_number 55
_symmetry_space_group_name_Hall '-P 2 2ab'
_cell_length_a 7.033
_cell_length_b 10.143
_cell_length_c 3.506
_cell_angle_alpha 90.00
_cell_angle_beta 90.00
_cell_angle_gamma 90.00
loop_
_atom_site_label
_atom_site_type_symbol
_atom_site_fract_x
_atom_site_fract_y
_atom_site_fract_z
Pb1 Pb 0.000 0.000 0.000
Pb2 Pb 0.007 0.307 0.500
O1 O 0.152 0.189 0.000
O2 O 0.156 0.908 0.500
```

***

Record 4
Starting from a crystal structure in Alexandria, relaxed with PBE, the X-ray diffraction stick pattern of KNdP4O12 was computed for Cu Kα (weighted mean of Kα1 and Kα2).

Top 10 peaks for 2θ from 10° to 80°, by angle:
h k l  Position (°2θ)  Rel. int.
0 1 1  15.03  89
1 1 0  15.80  61
1 0 -1  15.96  46
1 0 1  16.45  62
1 2 -1  26.24  100
1 2 1  26.55  76
1 1 -2  26.84  54
2 1 -1  28.16  77
2 1 1  28.74  65
2 0 2  33.24  46

Cell and atoms:
```
data_KNdP4O12
_symmetry_space_group_name_H-M 'P 1 21 1'
_symmetry_Int_Tables_number 4
_symmetry_space_group_name_Hall 'P 2yb'
_cell_length_a 7.414
_cell_length_b 8.586
_cell_length_c 8.108
_cell_angle_alpha 90.00
_cell_angle_beta 91.75
_cell_angle_gamma 90.00
loop_
_atom_site_label
_atom_site_type_symbol
_atom_site_fract_x
_atom_site_fract_y
_atom_site_fract_z
K1 K 0.231 0.000 0.283
Nd1 Nd 0.263 0.314 0.758
P1 P 0.068 0.939 0.904
P2 P 0.118 0.563 0.395
P3 P 0.400 0.736 0.895
P4 P 0.498 0.464 0.382
O1 O 0.033 0.717 0.351
O2 O 0.040 0.429 0.271
O3 O 0.060 0.407 0.960
O4 O 0.107 0.503 0.568
O5 O 0.182 0.082 0.926
O6 O 0.191 0.786 0.878
O7 O 0.325 0.573 0.342
O8 O 0.338 0.066 0.615
O9 O 0.412 0.576 0.825
O10 O 0.468 0.367 0.533
O11 O 0.470 0.768 0.068
O12 O 0.491 0.355 0.221
```

***

Record 5
Starting from a crystal structure in Alexandria, relaxed with PBE, the X-ray diffraction stick pattern of Cu3Pt was computed for Cu Kα (weighted mean of Kα1 and Kα2).

Top 10 peaks for 2θ from 10° to 80°, by angle:
h k l  Position (°2θ)  Rel. int.
0 0 1  20.41  25
2 0 0  20.88  27
2 0 -1  26.03  16
1 1 0  34.25  16
1 1 -1  38.98  11
1 1 1  41.39  100
4 0 0  42.50  93
3 1 -1  47.70  66
2 0 2  51.02  27
5 1 1  72.42  36

Cell and atoms:
```
data_Cu3Pt
_symmetry_space_group_name_H-M 'C 1 2/m 1'
_symmetry_Int_Tables_number 12
_symmetry_space_group_name_Hall '-C 2y'
_cell_length_a 8.703
_cell_length_b 2.751
_cell_length_c 4.451
_cell_angle_alpha 90.00
_cell_angle_beta 102.17
_cell_angle_gamma 90.00
loop_
_atom_site_label
_atom_site_type_symbol
_atom_site_fract_x
_atom_site_fract_y
_atom_site_fract_z
Cu1 Cu 0.000 0.000 0.000
Cu2 Cu 0.248 0.500 0.244
Pt1 Pt 0.000 0.500 0.500
```

***

Record 6
Starting from a crystal structure in Alexandria, relaxed with PBE, the X-ray diffraction stick pattern of LaPm3Pd was computed for Cu Kα (weighted mean of Kα1 and Kα2).

Top 10 peaks for 2θ from 10° to 80°, by angle:
h k l  Position (°2θ)  Rel. int.
2 0 -2  26.98  19
3 1 1  29.17  55
5 1 -1  30.04  100
5 1 0  30.46  50
1 1 -2  32.08  45
3 1 -2  32.48  53
0 2 0  33.64  81
1 1 2  34.89  24
5 1 -2  35.99  24
8 2 -3  61.48  23

Cell and atoms:
```
data_LaPm3Pd
_symmetry_space_group_name_H-M 'C 1 2/m 1'
_symmetry_Int_Tables_number 12
_symmetry_space_group_name_Hall '-C 2y'
_cell_length_a 18.524
_cell_length_b 5.328
_cell_length_c 6.616
_cell_angle_alpha 90.00
_cell_angle_beta 108.29
_cell_angle_gamma 90.00
loop_
_atom_site_label
_atom_site_type_symbol
_atom_site_fract_x
_atom_site_fract_y
_atom_site_fract_z
La1 La 0.086 0.000 0.245
Pm1 Pm 0.031 0.500 0.768
Pm2 Pm 0.176 0.000 0.863
Pm3 Pm 0.201 0.500 0.563
Pd1 Pd 0.166 0.500 0.104
```

***

Record 7
Starting from a crystal structure in Alexandria, relaxed with PBE, the X-ray diffraction stick pattern of CaAlRe2Mo was computed for Cu Kα (weighted mean of Kα1 and Kα2).

Top 10 peaks for 2θ from 10° to 80°, by angle:
h k l  Position (°2θ)  Rel. int.
0 0 1  18.13  100
1 1 0  26.34  20
1 1 1  32.16  73
0 0 2  36.73  32
2 0 0  37.59  60
2 0 1  42.03  49
2 0 2  53.57  43
2 2 0  54.21  21
3 1 1  64.45  20
2 2 2  67.28  22

Cell and atoms:
```
data_CaAlRe2Mo
_symmetry_space_group_name_H-M 'P 4/m m m'
_symmetry_Int_Tables_number 123
_symmetry_space_group_name_Hall '-P 4 2'
_cell_length_a 4.786
_cell_length_b 4.786
_cell_length_c 4.893
_cell_angle_alpha 90.00
_cell_angle_beta 90.00
_cell_angle_gamma 90.00
loop_
_atom_site_label
_atom_site_type_symbol
_atom_site_fract_x
_atom_site_fract_y
_atom_site_fract_z
Ca1 Ca 0.000 0.000 0.000
Al1 Al 0.500 0.500 0.000
Re1 Re 0.000 0.500 0.500
Mo1 Mo 0.500 0.500 0.500
```